The following is a calculated X-ray powder pattern of Ba6IN3. It was derived from the PBE geometry in Alexandria, using Cu Kα X-rays.
No peak broadening, texture or thermal motion is included.

Unit cell a=11.614 b=4.096 c=15.127 alpha=90.00 beta=105.42 gamma=90.00
Space group P2_1/m (No. 11)
Inequivalent atoms, fractional coordinates:
Ba: 0.010 0.250 0.259 x2
Ba: 0.122 0.750 0.570 x2
Ba: 0.189 0.750 0.108 x2
Ba: 0.279 0.750 0.370 x2
Ba: 0.359 0.250 0.950 x2
Ba: 0.469 0.250 0.211 x2
I: 0.391 0.250 0.581 x2
N: 0.034 0.750 0.389 x2
N: 0.242 0.250 0.242 x2
N: 0.415 0.750 0.082 x2

Top 12 peaks for 2θ = 10–80°, sorted by position:
7.921 Å, 2θ = 11.2°, intensity 55.4, hkl 1 0 1
3.960 Å, 2θ = 22.4°, intensity 44.4, hkl 2 0 2
3.512 Å, 2θ = 25.4°, intensity 63.0, hkl 2 0 -4
3.339 Å, 2θ = 26.7°, intensity 47.4, hkl 2 1 -1
3.306 Å, 2θ = 27.0°, intensity 71.5, hkl 2 1 0
3.132 Å, 2θ = 28.5°, intensity 100.0, hkl 0 1 3
3.120 Å, 2θ = 28.6°, intensity 41.4, hkl 2 1 1
3.025 Å, 2θ = 29.5°, intensity 40.4, hkl 1 0 -5
2.882 Å, 2θ = 31.0°, intensity 81.6, hkl 4 0 -2
2.640 Å, 2θ = 34.0°, intensity 47.9, hkl 3 0 3
2.048 Å, 2θ = 44.2°, intensity 40.9, hkl 0 2 0
2.043 Å, 2θ = 44.3°, intensity 40.8, hkl 4 1 -5

---

The following is a calculated X-ray powder pattern of Mn5VGa4. It was derived from the PBE geometry in Alexandria, using Cu Kα X-rays.
No peak broadening, texture or thermal motion is included.

Unit cell a=2.836 b=2.836 c=16.322 alpha=90.00 beta=90.00 gamma=90.00
Space group P4/mmm (No. 123)
Inequivalent atoms, fractional coordinates:
Mn: 0.000 0.000 0.000 x1
Mn: 0.000 0.000 0.214 x2
Mn: 0.000 0.000 0.414 x2
V: 0.500 0.500 0.500 x1
Ga: 0.500 0.500 0.108 x2
Ga: 0.500 0.500 0.317 x2

Top 12 peaks for 2θ = 10–80°, sorted by position:
2.836 Å, 2θ = 31.5°, intensity 1.3, hkl 1 0 0
2.329 Å, 2θ = 38.7°, intensity 10.2, hkl 1 0 4
2.141 Å, 2θ = 42.2°, intensity 100.0, hkl 1 0 5
2.005 Å, 2θ = 45.2°, intensity 47.2, hkl 1 1 0
1.963 Å, 2θ = 46.2°, intensity 5.6, hkl 1 0 6
1.814 Å, 2θ = 50.3°, intensity 4.5, hkl 0 0 9
1.632 Å, 2θ = 56.4°, intensity 6.2, hkl 0 0 10
1.484 Å, 2θ = 62.6°, intensity 1.4, hkl 0 0 11
1.418 Å, 2θ = 65.9°, intensity 14.2, hkl 2 0 0
1.345 Å, 2θ = 69.9°, intensity 6.4, hkl 1 1 9
1.266 Å, 2θ = 75.0°, intensity 10.0, hkl 1 1 10
1.211 Å, 2θ = 79.1°, intensity 2.3, hkl 2 1 4

---

The following is a calculated X-ray powder pattern of K5In2Hg12. It was derived from the PBE geometry in Alexandria, using Cu Kα X-rays.
No peak broadening, texture or thermal motion is included.

Unit cell a=17.596 b=8.332 c=8.276 alpha=90.00 beta=91.40 gamma=90.00
Space group C2/m (No. 12)
Inequivalent atoms, fractional coordinates:
K: 0.000 0.000 0.000 x2
K: 0.207 0.500 0.523 x4
K: 0.243 0.000 0.937 x4
In: 0.000 0.310 0.500 x4
Hg: 0.057 0.500 0.169 x4
Hg: 0.092 0.000 0.607 x4
Hg: 0.110 0.311 0.833 x8
Hg: 0.138 0.185 0.262 x8

Top 12 peaks for 2θ = 10–80°, sorted by position:
8.795 Å, 2θ = 10.1°, intensity 90.5, hkl 2 0 0
5.540 Å, 2θ = 16.0°, intensity 53.8, hkl 1 1 1
4.398 Å, 2θ = 20.2°, intensity 91.5, hkl 4 0 0
3.050 Å, 2θ = 29.3°, intensity 72.5, hkl 4 0 -2
2.995 Å, 2θ = 29.8°, intensity 99.0, hkl 5 1 1
2.856 Å, 2θ = 31.3°, intensity 59.1, hkl 4 2 -1
2.770 Å, 2θ = 32.3°, intensity 84.4, hkl 2 2 2
2.607 Å, 2θ = 34.4°, intensity 73.5, hkl 1 3 -1
2.581 Å, 2θ = 34.8°, intensity 68.1, hkl 1 1 3
2.422 Å, 2θ = 37.1°, intensity 79.3, hkl 4 2 2
2.409 Å, 2θ = 37.3°, intensity 100.0, hkl 3 3 -1
1.605 Å, 2θ = 57.4°, intensity 63.6, hkl 3 3 -4